Structure and computed powder diffraction line list of Ba2AlV3O8 (a DFT-relaxed cell (GGA+U, Alexandria); Cu Kα X-rays).

The 8 most intense peaks (2θ = 10–90°), low angle first:
- d 2.814, I = 100, hkl 0 1 3
- d 2.771, I = 82, hkl 1 1 0
- d 2.741, I = 95, hkl 1 0 3
- d 2.266, I = 36, hkl 1 1 3
- d 2.012, I = 37, hkl 0 2 0
- d 1.622, I = 38, hkl 1 2 3
- d 1.605, I = 45, hkl 1 1 6
- d 1.580, I = 34, hkl 2 1 3

Structure:
```
data_Ba2AlV3O8
_space_group_name_H-M_alt 'P m m m'
_space_group_IT_number 47
_cell_length_a 3.820
_cell_length_b 4.025
_cell_length_c 11.810
_cell_angle_alpha 90.00
_cell_angle_beta 90.00
_cell_angle_gamma 90.00
loop_
_space_group_symop_operation_xyz
'x,y,z'
'-x,-y,-z'
'-x,-y,z'
'x,y,-z'
'x,-y,-z'
'-x,y,z'
'-x,y,-z'
'x,-y,z'
loop_
_atom_site_label
_atom_site_fract_x
_atom_site_fract_y
_atom_site_fract_z
Ba1 0.000 0.000 0.169
Al1 0.000 0.000 0.500
V1 0.500 0.500 0.000
V2 0.500 0.500 0.350
O1 0.000 0.500 0.000
O2 0.000 0.500 0.396
O3 0.500 0.000 0.000
O4 0.500 0.000 0.392
O5 0.500 0.500 0.188
```